[1]
Theoretical PXRD pattern of Tl2Au3Cl6 for a wavelength of 1.5418 Å, from the GGA-PBE geometry in Alexandria.

```
data_Tl2Au3Cl6
_symmetry_space_group_name_H-M 'P 1'
_symmetry_Int_Tables_number 1
_symmetry_space_group_name_Hall 'P 1'
_cell_length_a 8.0013
_cell_length_b 8.0013
_cell_length_c 15.8497
_cell_angle_alpha 104.65
_cell_angle_beta 104.65
_cell_angle_gamma 59.86
loop_
_atom_site_label
_atom_site_fract_x
_atom_site_fract_y
_atom_site_fract_z
Tl1 0.1662 0.6666 0.9994
Tl2 0.3334 0.8338 0.5006
Tl3 0.6666 0.1662 0.4994
Tl4 0.8338 0.3334 0.0006
Au1 0.0772 0.9228 0.7500
Au2 0.2502 0.4235 0.2499
Au3 0.4235 0.2502 0.7499
Au4 0.5765 0.7498 0.2501
Au5 0.7498 0.5765 0.7501
Au6 0.9228 0.0772 0.2500
Cl1 0.0260 0.8580 0.6002
Cl2 0.1420 0.9740 0.8998
Cl3 0.2165 0.3586 0.1001
Cl4 0.2839 0.4752 0.3997
Cl5 0.3586 0.2165 0.6001
Cl6 0.4752 0.2839 0.8997
Cl7 0.5248 0.7161 0.1003
Cl8 0.6414 0.7835 0.3999
Cl9 0.7161 0.5248 0.6003
Cl10 0.7835 0.6414 0.8999
Cl11 0.8580 0.0260 0.1002
Cl12 0.9740 0.1420 0.3998
```

Peak list (8 most intense, 5° ≤ 2θ ≤ 70°, sorted by position)
| 2θ/deg | Rel. int. |
| --- | --- |
| 13.37 | 18 |
| 23.01 | 100 |
| 23.46 | 32 |
| 25.18 | 88 |
| 37.22 | 20 |
| 39.02 | 47 |
| 42.32 | 32 |
| 46.04 | 29 |

---

[2]
Theoretical PXRD pattern of TlVAuCl6 for a wavelength of 1.5418 Å, from the GGA-PBE geometry in Alexandria.

```
data_TlVAuCl6
_symmetry_space_group_name_H-M 'P 1'
_symmetry_Int_Tables_number 1
_symmetry_space_group_name_Hall 'P 1'
_cell_length_a 6.9315
_cell_length_b 7.2272
_cell_length_c 7.2598
_cell_angle_alpha 117.15
_cell_angle_beta 102.80
_cell_angle_gamma 103.53
loop_
_atom_site_label
_atom_site_fract_x
_atom_site_fract_y
_atom_site_fract_z
Tl1 0.0000 0.0000 0.0000
V1 0.6835 0.5113 0.3327
Au1 0.1471 0.1921 0.7239
Cl1 0.3605 0.5118 0.0696
Cl2 0.4894 0.1905 0.2887
Cl3 0.5777 0.7421 0.5816
Cl4 0.7616 0.3594 0.0293
Cl5 0.9211 0.8876 0.3720
Cl6 0.9786 0.5604 0.5839
```

Peak list (8 most intense, 5° ≤ 2θ ≤ 70°, sorted by position)
| 2θ/deg | Rel. int. |
| --- | --- |
| 14.20 | 49 |
| 14.93 | 29 |
| 16.17 | 100 |
| 24.22 | 26 |
| 26.10 | 26 |
| 26.69 | 30 |
| 27.84 | 27 |
| 32.68 | 25 |

---

[3]
Theoretical PXRD pattern of ZnAuCl2 for a wavelength of 1.5418 Å, from the GGA-PBE geometry in Alexandria.

```
data_ZnAuCl2
_symmetry_space_group_name_H-M 'P 1'
_symmetry_Int_Tables_number 1
_symmetry_space_group_name_Hall 'P 1'
_cell_length_a 6.0466
_cell_length_b 6.0466
_cell_length_c 6.0466
_cell_angle_alpha 148.12
_cell_angle_beta 103.43
_cell_angle_gamma 85.33
loop_
_atom_site_label
_atom_site_fract_x
_atom_site_fract_y
_atom_site_fract_z
Zn1 0.0000 0.0000 0.0000
Au1 0.2204 0.7204 0.5000
Cl1 0.4334 0.4334 0.0000
Cl2 0.8188 0.3188 0.5000
```

Peak list (8 most intense, 5° ≤ 2θ ≤ 70°, sorted by position)
| 2θ/deg | Rel. int. |
| --- | --- |
| 15.46 | 100 |
| 23.75 | 59 |
| 28.69 | 13 |
| 35.81 | 68 |
| 37.58 | 14 |
| 40.80 | 19 |
| 47.76 | 24 |
| 50.09 | 26 |

---

[4]
Theoretical PXRD pattern of Zr2AuCl for a wavelength of 1.5418 Å, from the GGA-PBE geometry in Alexandria.

```
data_Zr2AuCl
_symmetry_space_group_name_H-M 'P 1'
_symmetry_Int_Tables_number 1
_symmetry_space_group_name_Hall 'P 1'
_cell_length_a 3.2078
_cell_length_b 5.0264
_cell_length_c 5.3192
_cell_angle_alpha 90.00
_cell_angle_beta 106.69
_cell_angle_gamma 90.00
loop_
_atom_site_label
_atom_site_fract_x
_atom_site_fract_y
_atom_site_fract_z
Zr1 0.0000 0.0000 0.0000
Zr2 0.2864 0.5000 0.5697
Au1 0.5698 0.5000 0.1181
Cl1 0.2977 0.0000 0.5836
```

Peak list (8 most intense, 5° ≤ 2θ ≤ 70°, sorted by position)
| 2θ/deg | Rel. int. |
| --- | --- |
| 17.41 | 59 |
| 17.65 | 72 |
| 34.20 | 95 |
| 34.42 | 100 |
| 35.23 | 68 |
| 35.73 | 92 |
| 42.47 | 47 |
| 43.02 | 47 |